Starting from a crystal structure in Alexandria, relaxed with PBE, the powder diffractogram of NdNpGe2 was calculated for Cu Kα (weighted mean of Kα1 and Kα2).
Peak positions follow from Bragg's law for the DFT cell and can differ from measured ones.

Structural model:
```
data_NdNpGe2
_symmetry_space_group_name_H-M 'P 4/m m m'
_symmetry_Int_Tables_number 123
_symmetry_space_group_name_Hall '-P 4 2'
_cell_length_a 3.330
_cell_length_b 3.330
_cell_length_c 8.267
_cell_angle_alpha 90.00
_cell_angle_beta 90.00
_cell_angle_gamma 90.00
loop_
_atom_site_label
_atom_site_type_symbol
_atom_site_fract_x
_atom_site_fract_y
_atom_site_fract_z
_atom_site_occupancy
Nd1 Nd 0.000 0.000 0.000 1
Np1 Np 0.000 0.000 0.500 1
Ge1 Ge 0.500 0.500 0.259 1
```

Principal peaks in the range 10° ≤ 2θ ≤ 90°, in order of rising 2θ:
2θ/deg  I/Imax  hkl
10.7  11  0 0 1
21.5  15  0 0 2
26.8  17  1 0 0
34.6  100  1 0 2
38.2  38  1 1 0
43.8  13  0 0 4
55.2  13  2 0 0
59.5  21  1 1 4
66.8  30  2 1 2
73.0  11  2 0 4